1.
This entry pairs a crystal structure of K2ErRu3O12 with its computed XRD peak list. Radiation: Cu Kα. Structure: the GGA-PBE geometry in Alexandria.
Intensities are scaled so that the largest is 100.

Crystal structure
abc: 7.4607 7.4607 7.4607
angles: 58.67 58.67 58.67
Atoms (fractional coordinates):
K 0.1276 0.1276 0.1276
K 0.8724 0.8724 0.8724
Er 0.5000 0.5000 0.5000
Ru 0.0000 0.5000 0.5000
Ru 0.5000 0.0000 0.5000
Ru 0.5000 0.5000 0.0000
O 0.1406 0.5811 0.5811
O 0.1964 0.1964 0.5768
O 0.1964 0.5768 0.1964
O 0.4189 0.4189 0.8594
O 0.4189 0.8594 0.4189
O 0.4232 0.8036 0.8036
O 0.5768 0.1964 0.1964
O 0.5811 0.1406 0.5811
O 0.5811 0.5811 0.1406
O 0.8036 0.4232 0.8036
O 0.8036 0.8036 0.4232
O 0.8594 0.4189 0.4189

Most intense lines, 5 to 70 degrees two-theta, low angle first:
- 2θ = 14.8°, I 100
- 2θ = 28.0°, I 32
- 2θ = 28.4°, I 72
- 2θ = 29.0°, I 25
- 2θ = 29.8°, I 61
- 2θ = 45.4°, I 23
- 2θ = 48.8°, I 23
- 2θ = 49.9°, I 28

=====

2.
This entry pairs a crystal structure of BF4 with its computed XRD peak list. Radiation: Cu Kα. Structure: the GGA-PBE geometry in Alexandria.
Intensities are scaled so that the largest is 100.

Crystal structure
abc: 4.9424 5.9610 5.9935
angles: 108.22 106.60 92.94
Atoms (fractional coordinates):
B 0.2306 0.1433 0.2929
B 0.7694 0.8567 0.7071
F 0.0325 0.9537 0.2266
F 0.1585 0.3601 0.3381
F 0.3720 0.5198 0.9210
F 0.4993 0.1126 0.3126
F 0.5007 0.8874 0.6874
F 0.6280 0.4802 0.0790
F 0.8415 0.6399 0.6619
F 0.9675 0.0463 0.7734

Most intense lines, 5 to 70 degrees two-theta, low angle first:
- 2θ = 22.8°, I 47
- 2θ = 24.5°, I 47
- 2θ = 26.6°, I 72
- 2θ = 27.9°, I 33
- 2θ = 31.5°, I 100
- 2θ = 32.6°, I 50
- 2θ = 33.2°, I 30
- 2θ = 36.0°, I 56

=====

3.
This entry pairs a crystal structure of ZrTc5 with its computed XRD peak list. Radiation: Cu Kα. Structure: the GGA-PBE geometry in Alexandria.
Intensities are scaled so that the largest is 100.

Crystal structure
abc: 10.1768 2.8981 6.7222
angles: 90.00 107.12 90.00
Atoms (fractional coordinates):
Zr 0.0000 0.0000 0.0000
Zr 0.5000 0.5000 0.0000
Tc 0.1560 0.5000 0.7360
Tc 0.1908 0.5000 0.3573
Tc 0.2794 0.0000 0.0866
Tc 0.3527 0.0000 0.6535
Tc 0.4728 0.5000 0.4242
Tc 0.6560 0.0000 0.7360
Tc 0.6908 0.0000 0.3573
Tc 0.7794 0.5000 0.0866
Tc 0.8527 0.5000 0.6535
Tc 0.9728 0.0000 0.4242

Most intense lines, 5 to 70 degrees two-theta, low angle first:
- 2θ = 36.3°, I 29
- 2θ = 37.8°, I 33
- 2θ = 39.3°, I 59
- 2θ = 41.1°, I 100
- 2θ = 41.8°, I 90
- 2θ = 42.2°, I 29
- 2θ = 43.5°, I 26
- 2θ = 67.3°, I 22

=====

4.
This entry pairs a crystal structure of Pr2SmAl3 with its computed XRD peak list. Radiation: Cu Kα. Structure: the GGA-PBE geometry in Alexandria.
Intensities are scaled so that the largest is 100.

Crystal structure
abc: 8.3287 8.3287 7.4932
angles: 90.00 90.00 143.11
Atoms (fractional coordinates):
Pr 0.0000 0.0000 0.0000
Pr 0.0000 0.0000 0.5000
Pr 0.3348 0.6652 0.0000
Pr 0.6652 0.3348 0.0000
Sm 0.3329 0.6671 0.5000
Sm 0.6671 0.3329 0.5000
Al 0.1684 0.8316 0.2552
Al 0.1684 0.8316 0.7448
Al 0.5000 0.5000 0.2559
Al 0.5000 0.5000 0.7441
Al 0.8316 0.1684 0.2552
Al 0.8316 0.1684 0.7448

Most intense lines, 5 to 70 degrees two-theta, low angle first:
- 2θ = 23.7°, I 23
- 2θ = 23.9°, I 45
- 2θ = 34.0°, I 100
- 2θ = 34.0°, I 20
- 2θ = 41.9°, I 21
- 2θ = 55.1°, I 19
- 2θ = 60.7°, I 15
- 2θ = 60.8°, I 29

=====

5.
This entry pairs a crystal structure of Er3Ga4 with its computed XRD peak list. Radiation: Cu Kα. Structure: the GGA-PBE geometry in Alexandria.
Intensities are scaled so that the largest is 100.

Crystal structure
abc: 4.1041 4.2025 18.0987
angles: 90.00 90.00 90.00
Atoms (fractional coordinates):
Er 0.0000 0.0000 0.0000
Er 0.0000 0.5000 0.3148
Er 0.0000 0.5000 0.6852
Er 0.5000 0.0000 0.1852
Er 0.5000 0.0000 0.8148
Er 0.5000 0.5000 0.5000
Ga 0.0000 0.0000 0.4329
Ga 0.0000 0.0000 0.5671
Ga 0.0000 0.5000 0.1474
Ga 0.0000 0.5000 0.8526
Ga 0.5000 0.0000 0.3526
Ga 0.5000 0.0000 0.6474
Ga 0.5000 0.5000 0.0671
Ga 0.5000 0.5000 0.9329

Most intense lines, 5 to 70 degrees two-theta, low angle first:
- 2θ = 26.3°, I 25
- 2θ = 32.0°, I 100
- 2θ = 32.7°, I 51
- 2θ = 36.5°, I 21
- 2θ = 41.3°, I 27
- 2θ = 43.0°, I 40
- 2θ = 44.1°, I 23
- 2θ = 56.0°, I 22

=====

6.
This entry pairs a crystal structure of SiHgAu2 with its computed XRD peak list. Radiation: Cu Kα. Structure: the GGA-PBE geometry in Alexandria.
Intensities are scaled so that the largest is 100.

Crystal structure
abc: 3.8934 4.6701 4.8743
angles: 90.00 99.78 90.00
Atoms (fractional coordinates):
Si 0.0000 0.0000 0.0000
Hg 0.5332 0.5000 0.6769
Au 0.1099 0.0000 0.5277
Au 0.9860 0.5000 0.1855

Most intense lines, 5 to 70 degrees two-theta, low angle first:
- 2θ = 27.2°, I 70
- 2θ = 30.1°, I 36
- 2θ = 33.4°, I 71
- 2θ = 37.7°, I 100
- 2θ = 38.6°, I 56
- 2θ = 42.3°, I 62
- 2θ = 47.8°, I 31
- 2θ = 59.7°, I 28

=====

7.
This entry pairs a crystal structure of Nd7Er12Tl with its computed XRD peak list. Radiation: Cu Kα. Structure: the GGA-PBE geometry in Alexandria.
Intensities are scaled so that the largest is 100.

Crystal structure
abc: 8.7284 8.7284 8.7284
angles: 98.42 98.42 98.42
Atoms (fractional coordinates):
Nd 0.0000 0.0000 0.0000
Nd 0.0885 0.3632 0.3632
Nd 0.3632 0.0885 0.3632
Nd 0.3632 0.3632 0.0885
Nd 0.6368 0.6368 0.9115
Nd 0.6368 0.9115 0.6368
Nd 0.9115 0.6368 0.6368
Er 0.1004 0.1004 0.6619
Er 0.1004 0.6619 0.1004
Er 0.2430 0.5000 0.7570
Er 0.2430 0.7570 0.5000
Er 0.3381 0.8996 0.8996
Er 0.5000 0.2430 0.7570
Er 0.5000 0.7570 0.2430
Er 0.6619 0.1004 0.1004
Er 0.7570 0.2430 0.5000
Er 0.7570 0.5000 0.2430
Er 0.8996 0.3381 0.8996
Er 0.8996 0.8996 0.3381
Tl 0.5000 0.5000 0.5000

Most intense lines, 5 to 70 degrees two-theta, low angle first:
- 2θ = 29.2°, I 38
- 2θ = 31.5°, I 100
- 2θ = 32.1°, I 72
- 2θ = 34.4°, I 39
- 2θ = 49.2°, I 17
- 2θ = 55.6°, I 17
- 2θ = 56.8°, I 24
- 2θ = 58.3°, I 14

=====

8.
This entry pairs a crystal structure of Ho4GeAs3 with its computed XRD peak list. Radiation: Cu Kα. Structure: the GGA-PBE geometry in Alexandria.
Intensities are scaled so that the largest is 100.

Crystal structure
abc: 5.8072 5.8072 5.8072
angles: 90.00 90.00 90.00
Atoms (fractional coordinates):
Ho 0.0000 0.0000 0.0000
Ho 0.0000 0.5000 0.5000
Ho 0.5000 0.0000 0.5000
Ho 0.5000 0.5000 0.0000
Ge 0.5000 0.5000 0.5000
As 0.0000 0.0000 0.5000
As 0.0000 0.5000 0.0000
As 0.5000 0.0000 0.0000

Most intense lines, 5 to 70 degrees two-theta, low angle first:
- 2θ = 26.6°, I 24
- 2θ = 30.8°, I 100
- 2θ = 44.1°, I 75
- 2θ = 52.2°, I 12
- 2θ = 54.8°, I 26
- 2θ = 64.1°, I 12

=====

9.
This entry pairs a crystal structure of InHSe2 with its computed XRD peak list. Radiation: Cu Kα. Structure: the GGA-PBE geometry in Alexandria.
Intensities are scaled so that the largest is 100.

Crystal structure
abc: 6.6992 4.2243 7.1606
angles: 90.00 91.31 90.00
Atoms (fractional coordinates):
In 0.1293 0.0000 0.3360
In 0.8707 0.5000 0.6640
H 0.3808 0.7383 0.0253
H 0.6192 0.2383 0.9747
Se 0.2269 0.9910 0.9931
Se 0.2490 0.4998 0.5429
Se 0.7510 0.9998 0.4571
Se 0.7731 0.4910 0.0069

Most intense lines, 5 to 70 degrees two-theta, low angle first:
- 2θ = 13.2°, I 69
- 2θ = 24.5°, I 56
- 2θ = 24.9°, I 45
- 2θ = 26.6°, I 43
- 2θ = 28.0°, I 100
- 2θ = 32.8°, I 43
- 2θ = 36.3°, I 44
- 2θ = 48.1°, I 44

=====

10.
This entry pairs a crystal structure of La2InPdO6 with its computed XRD peak list. Radiation: Cu Kα. Structure: the GGA-PBE geometry in Alexandria.
Intensities are scaled so that the largest is 100.

Crystal structure
abc: 5.6858 6.1362 9.8285
angles: 90.00 124.98 90.00
Atoms (fractional coordinates):
La 0.2313 0.0717 0.2518
La 0.2313 0.4283 0.7518
La 0.7687 0.5717 0.2482
La 0.7687 0.9283 0.7482
In 0.5000 0.0000 0.0000
In 0.5000 0.5000 0.5000
Pd 0.0000 0.0000 0.5000
Pd 0.0000 0.5000 0.0000
O 0.1340 0.1834 0.9378
O 0.1340 0.3166 0.4378
O 0.2492 0.6866 0.9466
O 0.2492 0.8134 0.4466
O 0.3584 0.0432 0.7414
O 0.3584 0.4568 0.2414
O 0.6416 0.5432 0.7586
O 0.6416 0.9568 0.2586
O 0.7508 0.1866 0.5534
O 0.7508 0.3134 0.0534
O 0.8660 0.6834 0.5622
O 0.8660 0.8166 0.0622

Most intense lines, 5 to 70 degrees two-theta, low angle first:
- 2θ = 24.0°, I 27
- 2θ = 29.1°, I 43
- 2θ = 30.8°, I 98
- 2θ = 30.9°, I 100
- 2θ = 31.5°, I 47
- 2θ = 43.4°, I 36
- 2θ = 45.0°, I 35
- 2θ = 48.6°, I 23